Entry 1:
Diffraction record for Ho3TmPb2. The PXRD pattern is theoretical, not measured: it uses a DFT-relaxed cell (PBE, Alexandria) and copper Kα.
No peak broadening, texture or thermal motion is included.

Main lines, by angle (10 to 90 degrees two-theta):
Position (°2θ)	d [Å]	intensity
27.79	3.210	21.0
29.75	3.003	76.8
31.60	2.832	38.0
35.04	2.561	100.0
39.71	2.270	57.4
51.61	1.771	42.5
57.41	1.605	19.8
69.06	1.360	28.9

Crystal structure
```
6
Lattice="4.540 0.000 0.000 0.000 4.540 0.000 0.000 0.000 8.495" Properties=species:S:1:pos:R:3 pbc="T T T"
Ho 0.000 0.000 0.000
Ho 0.000 2.270 5.605
Ho 2.270 0.000 2.889
Tm 2.270 2.270 0.000
Pb 0.000 2.270 2.419
Pb 2.270 0.000 6.075
```

Entry 2:
Diffraction record for YErGa2Pd5. The PXRD pattern is theoretical, not measured: it uses a DFT-relaxed cell (PBE, Alexandria) and copper Kα.
No peak broadening, texture or thermal motion is included.

Main lines, by angle (10 to 90 degrees two-theta):
Position (°2θ)	d [Å]	intensity
35.97	2.496	100.0
36.13	2.486	15.6
38.89	2.316	11.0
42.27	2.138	14.1
43.17	2.096	46.2
59.49	1.554	12.5
62.70	1.482	14.9
74.46	1.274	25.0

Crystal structure
```
9
Lattice="4.191 0.000 0.000 0.000 4.191 0.000 0.000 0.000 9.264" Properties=species:S:1:pos:R:3 pbc="T T T"
Y 0.000 0.000 0.000
Er 0.000 0.000 4.632
Ga 2.096 2.096 3.401
Ga 2.096 2.096 5.863
Pd 0.000 2.096 2.071
Pd 0.000 2.096 7.193
Pd 2.096 0.000 2.071
Pd 2.096 0.000 7.193
Pd 2.096 2.096 0.000
```

Entry 3:
Diffraction record for NaTe3. The PXRD pattern is theoretical, not measured: it uses a DFT-relaxed cell (PBE, Alexandria) and copper Kα.
No peak broadening, texture or thermal motion is included.

Main lines, by angle (10 to 90 degrees two-theta):
Position (°2θ)	d [Å]	intensity
19.42	4.570	16.9
19.54	4.543	14.9
27.69	3.222	100.0
39.43	2.285	33.7
39.68	2.271	37.3
48.86	1.864	16.7
64.52	1.444	11.6
64.87	1.437	14.6

Crystal structure
```
48
Lattice="9.140 0.000 0.000 -4.570 7.916 0.000 0.000 0.000 22.188" Properties=species:S:1:pos:R:3 pbc="T T T"
Na 0.000 0.000 2.749
Na 0.000 0.000 8.345
Na 0.000 0.000 13.843
Na 0.000 0.000 19.440
Na 0.000 5.277 4.609
Na 0.000 5.277 10.199
Na 0.000 5.277 15.703
Na 0.000 5.277 21.293
Na 4.570 2.639 0.895
Na 4.570 2.639 6.485
Na 4.570 2.639 11.990
Na 4.570 2.639 17.579
Te -2.114 3.814 2.685
Te -2.325 4.178 13.779
Te -0.345 2.674 6.514
Te -2.427 6.280 17.609
Te -0.040 2.604 0.899
Te -2.335 6.580 11.993
Te 0.040 2.604 11.993
Te -2.295 6.648 0.899
Te 0.345 2.674 17.609
Te -2.082 6.877 6.514
Te 2.275 1.268 10.195
Te 2.235 1.336 21.290
Te 2.489 1.038 4.580
Te 2.143 1.636 15.674
Te 2.114 3.814 13.779
Te -0.210 7.840 2.685
Te 4.360 0.076 8.409
Te 2.246 3.738 19.503
Te 2.325 4.178 2.685
Te 0.210 7.840 13.779
Te 4.781 0.076 19.503
Te 2.456 4.102 8.409
Te 2.427 6.280 6.514
Te 2.082 6.877 17.609
Te 2.335 6.580 0.899
Te 2.295 6.648 11.993
Te 6.652 1.038 15.674
Te 4.225 5.241 4.580
Te 6.866 1.268 21.290
Te 4.531 5.312 10.195
Te 6.905 1.336 10.195
Te 4.610 5.312 21.290
Te 6.997 1.636 4.580
Te 4.915 5.241 15.674
Te 6.895 3.738 8.409
Te 6.684 4.102 19.503
```

Entry 4:
Diffraction record for AcPr3Tm7. The PXRD pattern is theoretical, not measured: it uses a DFT-relaxed cell (PBE, Alexandria) and copper Kα.
No peak broadening, texture or thermal motion is included.

Main lines, by angle (10 to 90 degrees two-theta):
Position (°2θ)	d [Å]	intensity
30.51	2.930	33.4
30.86	2.898	100.0
35.68	2.516	69.2
51.12	1.787	24.0
51.58	1.772	23.6
60.72	1.525	15.1
61.12	1.516	28.1
61.32	1.512	14.3

Crystal structure
```
11
Lattice="7.088 0.000 0.000 -3.544 6.139 0.000 0.000 0.000 8.789" Properties=species:S:1:pos:R:3 pbc="T T T"
Ac 0.000 0.000 0.000
Pr 0.000 2.059 3.027
Pr -1.761 5.109 3.027
Pr 1.761 5.109 3.027
Tm -1.763 3.075 8.778
Tm 0.000 4.092 5.983
Tm 1.784 1.030 5.934
Tm 1.763 3.075 8.778
Tm 0.000 6.128 8.778
Tm 5.304 1.030 5.934
Tm 3.544 4.078 5.934
```

Entry 5:
Diffraction record for Nd2Ga3Ni. The PXRD pattern is theoretical, not measured: it uses a DFT-relaxed cell (PBE, Alexandria) and copper Kα.
No peak broadening, texture or thermal motion is included.

Main lines, by angle (10 to 90 degrees two-theta):
Position (°2θ)	d [Å]	intensity
33.14	2.703	30.1
33.35	2.687	100.0
33.51	2.674	71.1
33.74	2.656	74.2
34.26	2.617	34.3
40.37	2.234	57.1
41.19	2.192	71.1
53.96	1.699	30.9

Crystal structure
```
12
Lattice="10.471 0.000 0.000 0.000 4.469 0.000 -5.152 0.000 5.354" Properties=species:S:1:pos:R:3 pbc="T T T"
Nd 0.000 0.000 0.000
Nd -2.093 0.000 3.169
Nd 5.235 2.234 0.000
Nd 3.142 2.234 3.169
Ga 0.211 2.234 2.097
Ga 2.965 0.000 0.978
Ga 1.065 0.000 3.279
Ga 5.447 0.000 2.097
Ga 8.201 2.234 0.978
Ga 6.301 2.234 3.279
Ni 2.130 2.234 0.154
Ni 7.365 0.000 0.154
```

Entry 6:
Diffraction record for Y3Er7. The PXRD pattern is theoretical, not measured: it uses a DFT-relaxed cell (PBE, Alexandria) and copper Kα.
No peak broadening, texture or thermal motion is included.

Main lines, by angle (10 to 90 degrees two-theta):
Position (°2θ)	d [Å]	intensity
31.08	2.878	100.0
35.99	2.495	33.8
36.13	2.486	16.7
51.91	1.761	29.7
61.64	1.505	21.2
61.78	1.502	14.0
61.86	1.500	7.0
84.81	1.143	11.7

Crystal structure
```
10
Lattice="8.985 -2.486 0.000 8.985 2.486 0.000 -1.383 0.000 6.930" Properties=species:S:1:pos:R:3 pbc="T T T"
Y 0.000 0.000 0.000
Y 2.753 0.000 4.160
Y 13.834 0.000 2.770
Er -0.692 0.000 3.465
Er 3.455 0.000 0.689
Er 6.910 0.000 1.384
Er 6.228 0.000 4.853
Er 10.359 0.000 2.077
Er 9.677 0.000 5.546
Er 13.131 0.000 6.241
```

Entry 7:
Diffraction record for Rb2Ge2Te5. The PXRD pattern is theoretical, not measured: it uses a DFT-relaxed cell (PBE, Alexandria) and copper Kα.
No peak broadening, texture or thermal motion is included.

Main lines, by angle (10 to 90 degrees two-theta):
Position (°2θ)	d [Å]	intensity
14.40	6.150	100.0
26.82	3.324	68.2
28.41	3.141	92.0
29.04	3.075	73.3
31.10	2.876	65.1
33.25	2.694	93.7
33.43	2.680	75.6
33.74	2.656	51.6

Crystal structure
```
18
Lattice="6.913 0.000 0.000 -0.027 8.571 0.000 -2.163 -2.850 12.300" Properties=species:S:1:pos:R:3 pbc="T T T"
Rb 0.000 0.000 0.000
Rb -0.081 -0.218 5.429
Rb 3.224 3.869 0.064
Rb 3.326 4.030 5.427
Ge -1.149 5.299 8.436
Ge -0.274 4.132 3.578
Ge 3.227 -0.312 3.619
Ge 2.422 -1.345 8.588
Te -0.090 3.939 6.277
Te -0.155 -0.781 9.062
Te 1.531 6.182 2.662
Te 1.555 1.943 2.842
Te 0.350 3.776 9.963
Te 3.425 -0.109 6.328
Te 3.112 4.648 9.079
Te 4.987 6.220 2.640
Te 5.008 1.865 2.827
Te 3.859 0.243 10.051
```

Entry 8:
Diffraction record for Sc4S5O. The PXRD pattern is theoretical, not measured: it uses a DFT-relaxed cell (PBE, Alexandria) and copper Kα.
No peak broadening, texture or thermal motion is included.

Main lines, by angle (10 to 90 degrees two-theta):
Position (°2θ)	d [Å]	intensity
22.12	4.018	30.1
26.29	3.390	24.2
31.06	2.880	43.9
33.45	2.679	39.6
37.61	2.392	100.0
43.11	2.098	25.4
47.02	1.933	62.6
47.49	1.914	24.5

Crystal structure
```
10
Lattice="8.712 -1.734 0.000 8.712 1.734 0.000 -2.607 0.000 6.227" Properties=species:S:1:pos:R:3 pbc="T T T"
Sc -0.582 0.000 1.395
Sc 15.400 0.000 4.832
Sc 2.869 0.000 4.868
Sc 11.948 0.000 1.360
S 1.739 0.000 2.516
S 0.401 0.000 5.708
S 7.409 0.000 3.114
S 14.416 0.000 0.519
S 13.078 0.000 3.711
O 8.712 0.000 0.000
```

Entry 9:
Diffraction record for Ga3Cu2Ni2. The PXRD pattern is theoretical, not measured: it uses a DFT-relaxed cell (PBE, Alexandria) and copper Kα.
No peak broadening, texture or thermal motion is included.

Main lines, by angle (10 to 90 degrees two-theta):
Position (°2θ)	d [Å]	intensity
42.07	2.148	100.0
42.30	2.137	86.3
44.74	2.026	28.1
50.28	1.815	30.0
52.07	1.756	28.0
69.55	1.352	14.1
75.31	1.262	17.4
85.67	1.134	22.8

Crystal structure
```
14
Lattice="3.629 0.000 0.000 0.000 18.652 0.000 0.000 0.000 2.670" Properties=species:S:1:pos:R:3 pbc="T T T"
Ga 0.000 0.000 0.000
Ga 0.000 2.697 0.000
Ga 0.000 15.955 0.000
Ga 1.815 6.629 0.000
Ga 1.815 9.326 0.000
Ga 1.815 12.023 0.000
Cu 0.000 5.466 1.335
Cu 0.000 13.186 1.335
Cu 1.815 3.860 1.335
Cu 1.815 14.792 1.335
Ni 0.000 8.017 1.335
Ni 0.000 10.635 1.335
Ni 1.815 1.309 1.335
Ni 1.815 17.343 1.335
```

Entry 10:
Diffraction record for KThGa2Cl8. The PXRD pattern is theoretical, not measured: it uses a DFT-relaxed cell (PBE, Alexandria) and copper Kα.
No peak broadening, texture or thermal motion is included.

Main lines, by angle (10 to 90 degrees two-theta):
Position (°2θ)	d [Å]	intensity
16.41	5.402	75.2
16.76	5.291	68.9
18.64	4.761	100.0
18.94	4.685	92.2
24.12	3.690	67.2
27.62	3.230	55.8
35.78	2.510	54.9
44.91	2.018	61.3

Crystal structure
```
12
Lattice="6.574 0.000 0.000 0.000 8.918 0.000 -0.110 0.000 6.789" Properties=species:S:1:pos:R:3 pbc="T T T"
K 0.000 0.000 0.000
Th 0.000 4.459 0.000
Ga 3.232 1.990 3.394
Ga 3.232 6.928 3.394
Cl 1.458 2.492 1.176
Cl 1.458 6.426 1.176
Cl 1.600 4.459 4.730
Cl 1.956 0.000 4.392
Cl 4.508 0.000 2.397
Cl 4.864 4.459 2.059
Cl 5.006 2.492 5.613
Cl 5.006 6.426 5.613
```

Q: Which formula does entry 10 have?
A: KThGa2Cl8